The following is a simulated powder XRD pattern of Mo3Pb3N5. It was derived from a DFT-relaxed cell (GGA-PBE, the Materials Project), using Cu Kα (weighted mean of Kα1 and Kα2).
Kinematic intensities with the Lorentz-polarization factor, no thermal factor.

Atomic structure:
```
data_Mo3Pb3N5
_space_group_name_H-M_alt 'P -1'
_space_group_IT_number 2
_space_group_name_Hall '-P 1'
_cell_length_a 6.129
_cell_length_b 7.976
_cell_length_c 8.843
_cell_angle_alpha 107.57
_cell_angle_beta 97.11
_cell_angle_gamma 99.91
loop_
_atom_site_label
_atom_site_type_symbol
_atom_site_fract_x
_atom_site_fract_y
_atom_site_fract_z
_atom_site_occupancy
Mo1 Mo 0.072 0.187 0.032 1
Mo2 Mo 0.080 0.407 0.708 1
Mo3 Mo 0.325 0.503 0.386 1
Pb1 Pb 0.252 0.047 0.483 1
Pb2 Pb 0.429 0.853 0.782 1
Pb3 Pb 0.479 0.696 0.117 1
N1 N 0.030 0.369 0.224 1
N2 N 0.101 0.296 0.871 1
N3 N 0.196 0.715 0.443 1
N4 N 0.222 0.977 0.022 1
N5 N 0.330 0.440 0.586 1
```

Largest 10 diffraction maxima, low angle first, 2θ from 10° to 80°:
2theta, Rel. int., hkl
14.9, 32, 1 0 0
26.5, 60, 1 -1 2
29.5, 100, 0 2 1
30.1, 32, 2 0 -1
30.6, 29, 0 1 -3
31.2, 89, 1 2 -2
33.1, 36, 1 0 -3
34.0, 20, 2 0 1
35.0, 54, 1 -3 1
52.0, 22, 1 4 -1